Entry 1:
For Ta2O5, DFT lattice parameters and positions (PBE) gives the simulated X-ray powder pattern in this record (copper Kα).
Peak positions follow from Bragg's law for the DFT cell and can differ from measured ones.

abc: 3.884 13.045 3.929
angles: 90.00 90.00 90.00
Element x y z (fractional)
Ta  0.250  0.103  0.043
Ta  0.250  0.397  0.043
Ta  0.750  0.603  0.957
Ta  0.750  0.897  0.957
O  0.250  0.102  0.517
O  0.250  0.250  0.013
O  0.250  0.398  0.517
O  0.250  0.566  0.992
O  0.250  0.934  0.992
O  0.750  0.066  0.008
O  0.750  0.434  0.008
O  0.750  0.602  0.483
O  0.750  0.750  0.987
O  0.750  0.898  0.483

Principal peaks in the range 10 to 80 degrees two-theta, in order of rising 2θ:
13.58 deg, 6.522 Å, I 314; 22.63 deg, 3.929 Å, I 1000; 23.90 deg, 3.723 Å, I 778; 27.35 deg, 3.261 Å, I 492; 30.87 deg, 2.897 Å, I 694; 33.15 deg, 2.702 Å, I 426; 35.78 deg, 2.509 Å, I 305; 38.61 deg, 2.332 Å, I 455


Entry 2:
For Ta2O5, DFT lattice parameters and positions (PBE) gives the simulated X-ray powder pattern in this record (copper Kα).
Peak positions follow from Bragg's law for the DFT cell and can differ from measured ones.

abc: 5.722 5.722 12.582
angles: 90.00 90.00 141.07
Element x y z (fractional)
Ta  0.209  0.791  0.604
Ta  0.209  0.791  0.896
Ta  0.791  0.209  0.104
Ta  0.791  0.209  0.396
O  0.048  0.952  0.612
O  0.048  0.952  0.888
O  0.256  0.744  0.065
O  0.256  0.744  0.435
O  0.264  0.736  0.750
O  0.736  0.264  0.250
O  0.744  0.256  0.565
O  0.744  0.256  0.935
O  0.952  0.048  0.112
O  0.952  0.048  0.388

Principal peaks in the range 10 to 80 degrees two-theta, in order of rising 2θ:
16.43 deg, 5.395 Å, I 1000; 17.89 deg, 4.959 Å, I 210; 25.77 deg, 3.457 Å, I 604; 26.93 deg, 3.311 Å, I 192; 28.37 deg, 3.145 Å, I 261; 32.81 deg, 2.730 Å, I 514; 32.96 deg, 2.717 Å, I 171; 57.31 deg, 1.608 Å, I 191


Entry 3:
For Ta2O5, DFT lattice parameters and positions (PBE) gives the simulated X-ray powder pattern in this record (copper Kα).
Peak positions follow from Bragg's law for the DFT cell and can differ from measured ones.

abc: 6.227 3.875 7.425
angles: 90.00 90.00 90.00
Element x y z (fractional)
Ta  0.000  0.000  0.000
Ta  0.001  0.000  0.500
Ta  0.469  0.000  0.750
Ta  0.532  0.000  0.250
O  0.006  0.500  0.001
O  0.007  0.500  0.499
O  0.126  0.000  0.750
O  0.317  0.000  0.063
O  0.318  0.000  0.438
O  0.439  0.500  0.750
O  0.568  0.500  0.250
O  0.691  0.000  0.934
O  0.693  0.000  0.568
O  0.878  0.000  0.250

Principal peaks in the range 10 to 80 degrees two-theta, in order of rising 2θ:
22.95 deg, 3.875 Å, I 860; 27.98 deg, 3.189 Å, I 1000; 28.67 deg, 3.114 Å, I 427; 36.49 deg, 2.462 Å, I 679; 37.04 deg, 2.427 Å, I 307; 50.36 deg, 1.812 Å, I 211; 55.49 deg, 1.656 Å, I 298; 56.03 deg, 1.641 Å, I 246


Entry 4:
For Ta2O5, DFT lattice parameters and positions (PBE) gives the simulated X-ray powder pattern in this record (copper Kα).
Peak positions follow from Bragg's law for the DFT cell and can differ from measured ones.

abc: 18.761 3.142 5.989
angles: 90.00 101.35 90.00
Element x y z (fractional)
Ta  0.000  0.000  0.000
Ta  0.057  0.500  0.572
Ta  0.500  0.500  0.000
Ta  0.557  0.000  0.572
O  0.009  0.500  0.247
O  0.063  0.500  0.915
O  0.118  0.000  0.549
O  0.406  0.500  0.943
O  0.490  0.500  0.636
O  0.509  0.000  0.247
O  0.563  0.000  0.915
O  0.618  0.500  0.549
O  0.906  0.000  0.943
O  0.990  0.000  0.636

Principal peaks in the range 10 to 80 degrees two-theta, in order of rising 2θ:
19.30 deg, 4.599 Å, I 1000; 19.47 deg, 4.559 Å, I 615; 26.88 deg, 3.317 Å, I 423; 30.09 deg, 2.970 Å, I 783; 30.45 deg, 2.936 Å, I 473; 32.23 deg, 2.777 Å, I 814; 33.15 deg, 2.702 Å, I 545; 34.26 deg, 2.617 Å, I 688


Entry 5:
For TaO10, DFT lattice parameters and positions (PBE) gives the simulated X-ray powder pattern in this record (copper Kα).
Peak positions follow from Bragg's law for the DFT cell and can differ from measured ones.

abc: 3.848 3.876 11.700
angles: 94.37 90.32 92.12
Element x y z (fractional)
Ta  0.000  0.000  0.000
O  0.000  0.968  0.847
O  0.003  0.511  0.040
O  0.024  0.924  0.543
O  0.335  0.477  0.341
O  0.449  0.466  0.678
O  0.458  0.512  0.247
O  0.503  0.011  0.044
O  0.713  0.456  0.735
O  0.809  0.025  0.468
O  0.905  0.008  0.362

Principal peaks in the range 10 to 80 degrees two-theta, in order of rising 2θ:
15.19 deg, 5.833 Å, I 1000; 22.87 deg, 3.888 Å, I 576; 23.03 deg, 3.862 Å, I 378; 23.13 deg, 3.845 Å, I 424; 26.69 deg, 3.340 Å, I 531; 27.68 deg, 3.223 Å, I 415; 27.90 deg, 3.198 Å, I 381; 28.68 deg, 3.113 Å, I 458